This entry pairs a crystal structure of AcDy7Ho12 with its theoretical powder diffraction line list. Radiation: Cu Kα. Structure: a DFT-relaxed cell (GGA-PBE, Alexandria).
Kinematic intensities with the Lorentz-polarization factor, no thermal factor.

Principal peaks in the range 2θ = 15–90°, in order of falling intensity:
- 2θ = 31.57°, rel. 1000, hkl 4 -3 1
- 2θ = 33.11°, rel. 774, hkl 3 1 2
- 2θ = 32.12°, rel. 471, hkl 3 -1 4
- 2θ = 29.51°, rel. 296, hkl 0 1 5
- 2θ = 30.90°, rel. 272, hkl 0 3 3
- 2θ = 55.23°, rel. 220, hkl 2 5 0
- 2θ = 37.25°, rel. 164, hkl 2 -1 6
- 2θ = 28.36°, rel. 157, hkl 0 2 4
- 2θ = 53.29°, rel. 135, hkl 1 4 6
- 2θ = 54.38°, rel. 129, hkl 5 1 4

Atomic structure:
```
data_AcDy7Ho12
_symmetry_space_group_name_H-M 'R -3'
_symmetry_Int_Tables_number 148
_symmetry_space_group_name_Hall '-R 3'
_cell_length_a 11.9930
_cell_length_b 11.9930
_cell_length_c 15.8234
_cell_angle_alpha 90.00
_cell_angle_beta 90.00
_cell_angle_gamma 120.00
loop_
_atom_site_label
_atom_site_type_symbol
_atom_site_fract_x
_atom_site_fract_y
_atom_site_fract_z
Ac1 Ac 0.0000 0.0000 0.0000
Dy1 Dy 0.0000 0.0000 0.5000
Dy2 Dy 0.0490 0.1898 0.7952
Ho1 Ho 0.0090 0.4410 0.7183
Ho2 Ho 0.0498 0.5886 0.0837
```



This entry pairs a crystal structure of Na3HoHg12 with its theoretical powder diffraction line list. Radiation: Cu Kα. Structure: a DFT-relaxed cell (GGA-PBE, Alexandria).
Kinematic intensities with the Lorentz-polarization factor, no thermal factor.

Principal peaks in the range 2θ = 15–90°, in order of falling intensity:
- 2θ = 33.37°, rel. 1000, hkl 1 1 4
- 2θ = 38.87°, rel. 338, hkl 2 0 0
- 2θ = 66.90°, rel. 275, hkl 3 1 4
- 2θ = 55.80°, rel. 232, hkl 2 0 8
- 2θ = 38.41°, rel. 169, hkl 0 0 8
- 2θ = 66.28°, rel. 136, hkl 1 1 12
- 2θ = 56.14°, rel. 119, hkl 2 2 0
- 2θ = 70.08°, rel. 119, hkl 2 2 8
- 2θ = 19.15°, rel. 86, hkl 1 0 0
- 2θ = 27.06°, rel. 77, hkl 1 0 4

Atomic structure:
```
data_Na3HoHg12
_symmetry_space_group_name_H-M 'P 4/m m m'
_symmetry_Int_Tables_number 123
_symmetry_space_group_name_Hall '-P 4 2'
_cell_length_a 4.634
_cell_length_b 4.634
_cell_length_c 18.747
_cell_angle_alpha 90.00
_cell_angle_beta 90.00
_cell_angle_gamma 90.00
loop_
_atom_site_label
_atom_site_type_symbol
_atom_site_fract_x
_atom_site_fract_y
_atom_site_fract_z
Na1 Na 0.000 0.000 0.000
Na2 Na 0.000 0.000 0.252
Ho1 Ho 0.000 0.000 0.500
Hg1 Hg 0.000 0.500 0.127
Hg2 Hg 0.000 0.500 0.378
Hg3 Hg 0.500 0.500 0.000
Hg4 Hg 0.500 0.500 0.255
Hg5 Hg 0.500 0.500 0.500
```



This entry pairs a crystal structure of NaTeCO5 with its theoretical powder diffraction line list. Radiation: Cu Kα. Structure: a DFT-relaxed cell (GGA-PBE, Alexandria).
Kinematic intensities with the Lorentz-polarization factor, no thermal factor.

Principal peaks in the range 2θ = 15–90°, in order of falling intensity:
- 2θ = 18.34°, rel. 1000, hkl 1 1 -1
- 2θ = 26.61°, rel. 751, hkl 1 1 1
- 2θ = 34.88°, rel. 384, hkl 0 2 2
- 2θ = 30.17°, rel. 360, hkl 2 0 -2
- 2θ = 35.54°, rel. 337, hkl 1 3 -1
- 2θ = 21.21°, rel. 297, hkl 0 2 0
- 2θ = 42.54°, rel. 205, hkl 3 1 -1
- 2θ = 57.13°, rel. 174, hkl 3 3 -3
- 2θ = 55.15°, rel. 172, hkl 2 2 -4
- 2θ = 53.48°, rel. 163, hkl 2 4 0

Atomic structure:
```
data_NaTeCO5
_symmetry_space_group_name_H-M 'C 1 2/c 1'
_symmetry_Int_Tables_number 15
_symmetry_space_group_name_Hall '-C 2yc'
_cell_length_a 6.677
_cell_length_b 8.376
_cell_length_c 7.302
_cell_angle_alpha 90.00
_cell_angle_beta 116.78
_cell_angle_gamma 90.00
loop_
_atom_site_label
_atom_site_type_symbol
_atom_site_fract_x
_atom_site_fract_y
_atom_site_fract_z
Na1 Na 0.000 0.096 0.250
Te1 Te 0.250 0.250 0.000
C1 C 0.000 0.433 0.250
O1 O 0.000 0.164 0.750
O2 O 0.007 0.332 0.095
O3 O 0.200 0.476 0.843
```